For Ho2TaB2Ru5, a cell relaxed with GGA-PBE gives the computed XRD peak list in this record (Cu Kα (λ = 1.5418 Å)).
Kinematic intensities with the Lorentz-polarization factor, no thermal factor.

Crystal structure
Lattice parameters (Å, degrees): 9.668 9.668 3.122 90.00 90.00 90.00
Fractional coordinates of all 20 atoms:
Ho 0.175 0.325 0.000
Ho 0.325 0.825 0.000
Ho 0.675 0.175 0.000
Ho 0.825 0.675 0.000
Ta 0.000 0.000 0.000
Ta 0.500 0.500 0.000
B 0.120 0.620 0.000
B 0.380 0.120 0.000
B 0.620 0.880 0.000
B 0.880 0.380 0.000
Ru 0.000 0.500 0.500
Ru 0.071 0.782 0.500
Ru 0.218 0.071 0.500
Ru 0.282 0.571 0.500
Ru 0.429 0.282 0.500
Ru 0.500 0.000 0.500
Ru 0.571 0.718 0.500
Ru 0.718 0.429 0.500
Ru 0.782 0.929 0.500
Ru 0.929 0.218 0.500

The 6 most intense peaks (2θ = 10–80°), sorted by position:
index, 2θ/deg, I (rel.)
2 1 1, 35.47, 65
4 1 0, 38.39, 63
2 2 1, 39.08, 38
3 1 1, 41.33, 100
4 2 0, 41.78, 38
3 2 1, 44.54, 20